1.
# Li4MnCo3O8
Calculated powder XRD pattern, Cu Kα (weighted mean of Kα1 and Kα2). Input: a crystal structure in the Materials Project, relaxed with GGA+U.

Top 12 peaks for 2θ = 5–70°, low angle first:
two_theta, I/Imax
18.22, 100
35.49, 14
36.24, 27
43.00, 27
43.73, 50
57.42, 9
62.53, 7
62.70, 7
62.94, 7
63.07, 7
63.28, 7
64.58, 6

Structural model:
Lattice parameters (Å, degrees): 5.025 5.168 5.897 72.96 88.79 80.35
Element x y z (fractional)
Li (0.248, 0.497, 0.125)
Li (0.251, 0.498, 0.627)
Li (0.749, 0.502, 0.373)
Li (0.752, 0.503, 0.875)
Mn (0.500, 0.000, 0.500)
Co (0.011, 0.003, 0.243)
Co (0.500, 0.000, 0.000)
Co (0.989, 0.997, 0.757)
O (0.116, 0.238, 0.942)
O (0.145, 0.224, 0.448)
O (0.374, 0.772, 0.326)
O (0.375, 0.773, 0.794)
O (0.625, 0.227, 0.206)
O (0.626, 0.228, 0.674)
O (0.855, 0.776, 0.552)
O (0.884, 0.762, 0.058)



2.
# Li7Mn2Co3O12
Calculated powder XRD pattern, Cu Kα (weighted mean of Kα1 and Kα2). Input: a crystal structure in the Materials Project, relaxed with GGA+U.

Top 12 peaks for 2θ = 5–70°, low angle first:
two_theta, I/Imax
18.37, 100
35.80, 15
35.99, 13
36.43, 12
43.32, 29
43.58, 28
44.09, 27
47.71, 8
63.13, 22
63.23, 8
63.95, 7
64.24, 7

Structural model:
Lattice parameters (Å, degrees): 5.884 5.888 7.653 100.82 100.33 119.91
Element x y z (fractional)
Li (0.000, 0.000, 0.000)
Li (0.000, 0.499, 0.997)
Li (0.002, 0.671, 0.666)
Li (0.501, 0.998, 0.996)
Li (0.983, 0.315, 0.320)
Li (0.992, 0.829, 0.328)
Li (0.999, 0.167, 0.662)
Mn (0.498, 0.499, 0.997)
Mn (0.501, 0.165, 0.667)
Co (0.490, 0.834, 0.318)
Co (0.498, 0.326, 0.326)
Co (0.498, 0.677, 0.665)
O (0.262, 0.418, 0.153)
O (0.262, 0.912, 0.175)
O (0.266, 0.779, 0.513)
O (0.276, 0.255, 0.498)
O (0.278, 0.113, 0.829)
O (0.281, 0.581, 0.831)
O (0.714, 0.738, 0.494)
O (0.718, 0.414, 0.165)
O (0.725, 0.558, 0.829)
O (0.728, 0.084, 0.813)
O (0.728, 0.882, 0.154)
O (0.730, 0.241, 0.499)



3.
# Li7Mn4CoO12
Calculated powder XRD pattern, Cu Kα (weighted mean of Kα1 and Kα2). Input: a crystal structure in the Materials Project, relaxed with GGA+U.

Top 12 peaks for 2θ = 5–70°, low angle first:
two_theta, I/Imax
16.14, 7
18.44, 100
34.85, 15
36.34, 12
36.69, 12
41.92, 33
44.33, 28
44.59, 27
62.39, 8
62.60, 8
62.91, 8
63.11, 8

Structural model:
Lattice parameters (Å, degrees): 5.195 5.962 7.587 99.35 97.11 109.31
Element x y z (fractional)
Li (0.000, 0.000, 0.000)
Li (0.487, 0.098, 0.849)
Li (0.488, 0.408, 0.155)
Li (0.497, 0.752, 0.501)
Li (0.503, 0.248, 0.499)
Li (0.512, 0.592, 0.845)
Li (0.513, 0.902, 0.151)
Mn (0.005, 0.671, 0.674)
Mn (0.007, 0.832, 0.327)
Mn (0.993, 0.168, 0.673)
Mn (0.995, 0.329, 0.326)
Co (0.000, 0.500, 0.000)
O (0.211, 0.458, 0.580)
O (0.215, 0.300, 0.909)
O (0.217, 0.138, 0.267)
O (0.234, 0.772, 0.908)
O (0.235, 0.597, 0.241)
O (0.238, 0.936, 0.579)
O (0.762, 0.064, 0.421)
O (0.765, 0.403, 0.759)
O (0.766, 0.228, 0.092)
O (0.783, 0.862, 0.733)
O (0.785, 0.700, 0.091)
O (0.789, 0.542, 0.420)



4.
# Li4MnCo2O7
Calculated powder XRD pattern, Cu Kα (weighted mean of Kα1 and Kα2). Input: a crystal structure in the Materials Project, relaxed with GGA+U.

Top 12 peaks for 2θ = 5–70°, low angle first:
two_theta, I/Imax
6.50, 22
18.27, 100
35.58, 28
36.60, 12
42.83, 59
44.72, 25
47.89, 9
56.46, 10
61.67, 8
62.68, 8
63.39, 15
63.90, 14

Structural model:
Lattice parameters (Å, degrees): 6.451 6.451 14.439 109.16 109.16 26.57
Element x y z (fractional)
Li (0.000, 0.000, 0.000)
Li (0.001, 0.001, 0.513)
Li (0.144, 0.144, 0.730)
Li (0.306, 0.306, 0.455)
Li (0.425, 0.425, 0.146)
Li (0.576, 0.576, 0.868)
Li (0.723, 0.723, 0.593)
Li (0.865, 0.865, 0.304)
Mn (0.150, 0.150, 0.228)
Mn (0.573, 0.573, 0.376)
Co (0.291, 0.291, 0.947)
Co (0.435, 0.435, 0.652)
Co (0.720, 0.720, 0.081)
Co (0.861, 0.861, 0.800)
O (0.019, 0.019, 0.276)
O (0.140, 0.140, 0.462)
O (0.153, 0.153, 0.977)
O (0.279, 0.279, 0.191)
O (0.303, 0.303, 0.693)
O (0.426, 0.426, 0.902)
O (0.442, 0.442, 0.403)
O (0.563, 0.563, 0.628)
O (0.584, 0.584, 0.140)
O (0.707, 0.707, 0.323)
O (0.729, 0.729, 0.837)
O (0.864, 0.864, 0.045)
O (0.865, 0.865, 0.557)
O (0.993, 0.993, 0.759)



5.
# Li7Mn4CoO12
Calculated powder XRD pattern, Cu Kα (weighted mean of Kα1 and Kα2). Input: a crystal structure in the Materials Project, relaxed with GGA+U.

Top 12 peaks for 2θ = 5–70°, low angle first:
two_theta, I/Imax
5.95, 40
8.93, 19
11.92, 9
17.92, 100
33.54, 20
36.25, 26
40.12, 39
43.98, 57
46.43, 11
57.61, 9
60.99, 18
61.08, 18

Structural model:
Lattice parameters (Å, degrees): 3.047 3.047 29.769 93.41 93.41 56.08
Element x y z (fractional)
Li (0.000, 0.000, 0.000)
Li (0.000, 0.000, 0.250)
Li (0.001, 0.001, 0.753)
Li (0.334, 0.334, 0.584)
Li (0.340, 0.340, 0.079)
Li (0.658, 0.658, 0.919)
Li (0.667, 0.667, 0.417)
Mn (0.001, 0.001, 0.501)
Mn (0.334, 0.334, 0.334)
Mn (0.666, 0.666, 0.668)
Mn (0.671, 0.671, 0.167)
Co (0.333, 0.333, 0.834)
O (0.015, 0.015, 0.131)
O (0.015, 0.015, 0.870)
O (0.024, 0.024, 0.629)
O (0.311, 0.311, 0.706)
O (0.316, 0.316, 0.206)
O (0.338, 0.338, 0.957)
O (0.357, 0.357, 0.462)
O (0.644, 0.644, 0.539)
O (0.657, 0.657, 0.795)
O (0.663, 0.663, 0.042)
O (0.690, 0.690, 0.295)
O (0.978, 0.978, 0.372)



6.
# Li4MnCo2O7
Calculated powder XRD pattern, Cu Kα (weighted mean of Kα1 and Kα2). Input: a crystal structure in the Materials Project, relaxed with GGA+U.

Top 12 peaks for 2θ = 5–70°, low angle first:
two_theta, I/Imax
11.66, 9
18.40, 100
33.99, 21
36.71, 12
37.03, 14
40.71, 37
44.69, 26
45.20, 25
61.85, 9
62.25, 16
62.58, 8
66.30, 10

Structural model:
Lattice parameters (Å, degrees): 3.012 7.743 11.116 79.80 83.33 84.02
Element x y z (fractional)
Li (0.000, 0.000, 0.000)
Li (0.070, 0.214, 0.646)
Li (0.210, 0.642, 0.930)
Li (0.361, 0.067, 0.209)
Li (0.500, 0.500, 0.500)
Li (0.639, 0.933, 0.791)
Li (0.790, 0.358, 0.070)
Li (0.930, 0.786, 0.354)
Mn (0.286, 0.854, 0.574)
Mn (0.714, 0.146, 0.426)
Co (0.143, 0.433, 0.282)
Co (0.433, 0.273, 0.863)
Co (0.567, 0.727, 0.137)
Co (0.857, 0.567, 0.718)
O (0.050, 0.121, 0.825)
O (0.087, 0.326, 0.453)
O (0.187, 0.543, 0.118)
O (0.226, 0.742, 0.745)
O (0.344, 0.965, 0.400)
O (0.390, 0.194, 0.019)
O (0.482, 0.394, 0.695)
O (0.518, 0.606, 0.305)
O (0.610, 0.806, 0.981)
O (0.656, 0.035, 0.600)
O (0.774, 0.258, 0.255)
O (0.813, 0.457, 0.882)
O (0.913, 0.674, 0.547)
O (0.950, 0.879, 0.175)